# MoIO3
Theoretical powder diffractogram, Cu Kα. Input: the GGA+U geometry in Alexandria.
Neutral-atom scattering factors, no anomalous dispersion.

Peak list (10 most intense, 2θ from 15° to 90°, by angle)
- 16.00 deg, I = 100
- 23.13 deg, I = 43
- 25.40 deg, I = 18
- 26.73 deg, I = 46
- 28.44 deg, I = 20
- 29.98 deg, I = 13
- 30.50 deg, I = 17
- 31.15 deg, I = 11
- 36.55 deg, I = 35
- 37.05 deg, I = 19

Atomic structure:
```
data_MoIO3
_symmetry_space_group_name_H-M 'P 1 21/c 1'
_symmetry_Int_Tables_number 14
_cell_length_a 11.1186
_cell_length_b 5.3411
_cell_length_c 7.2110
_cell_angle_alpha 90.00
_cell_angle_beta 94.90
_cell_angle_gamma 90.00
loop_
_symmetry_equiv_pos_as_xyz
'x,y,z'
'-x,-y,-z'
'-x,y+1/2,-z+1/2'
'x,-y+1/2,z+1/2'
loop_
_atom_site_label
_atom_site_type_symbol
_atom_site_fract_x
_atom_site_fract_y
_atom_site_fract_z
_atom_site_occupancy
Mo1 Mo 0.0740 0.2336 0.4174 1
I1 I 0.4583 0.6066 0.7451 1
O1 O 0.0322 0.0921 0.1629 1
O2 O 0.1138 0.5515 0.0325 1
O3 O 0.2104 0.1316 0.8921 1
```